No. 1
Diffraction record for Ag4C3. The XRD peak list is theoretical, not measured: it uses DFT lattice parameters and positions (PBE) and Cu Kα (λ = 1.5418 Å).
Intensities are scaled so that the largest is 100.

Peak list (10 most intense, 2θ from 10° to 90°, in order of rising 2θ)
32.15°, rel. 29; 34.90°, rel. 96; 37.79°, rel. 100; 39.51°, rel. 7; 52.68°, rel. 22; 56.30°, rel. 34; 60.66°, rel. 8; 66.43°, rel. 16; 67.99°, rel. 36; 69.81°, rel. 15

```
7
Lattice="1.634 0.943 10.273 -1.634 0.943 10.273 0.000 -1.887 10.273" Properties=species:S:1:pos:R:3 pbc="T T T"
Ag 0.000 0.000 4.021
Ag 0.000 0.000 8.916
Ag 0.000 0.000 21.902
Ag 0.000 0.000 26.796
C 0.000 0.000 0.000
C 0.000 0.000 12.989
C 0.000 0.000 17.829
```

***

No. 2
Diffraction record for GdYB2Ir2O2. The XRD peak list is theoretical, not measured: it uses DFT lattice parameters and positions (PBE) and Cu Kα (λ = 1.5418 Å).
Intensities are scaled so that the largest is 100.

Peak list (10 most intense, 2θ from 10° to 90°, in order of rising 2θ)
12.16°, rel. 95; 26.32°, rel. 31; 35.40°, rel. 100; 37.06°, rel. 35; 41.60°, rel. 82; 47.53°, rel. 40; 61.76°, rel. 32; 73.96°, rel. 17; 80.47°, rel. 19; 84.36°, rel. 22

```
8
Lattice="3.826 0.000 0.000 0.000 3.826 0.000 0.000 0.000 7.277" Properties=species:S:1:pos:R:3 pbc="T T T"
Gd 0.000 0.000 0.000
Y 1.913 1.913 4.587
B 0.000 0.000 3.408
B 1.913 1.913 1.181
Ir 0.000 1.913 2.299
Ir 1.913 0.000 2.299
O 0.000 0.000 4.932
O 1.913 1.913 6.924
```

***

No. 3
Diffraction record for Cs4P2PdS8. The XRD peak list is theoretical, not measured: it uses DFT lattice parameters and positions (PBE) and Cu Kα (λ = 1.5418 Å).
Intensities are scaled so that the largest is 100.

Peak list (10 most intense, 2θ from 10° to 90°, in order of rising 2θ)
19.66°, rel. 57; 20.87°, rel. 52; 21.54°, rel. 85; 23.20°, rel. 96; 25.74°, rel. 77; 26.01°, rel. 100; 28.30°, rel. 72; 30.84°, rel. 33; 34.82°, rel. 53; 42.50°, rel. 57

```
15
Lattice="6.995 0.000 0.000 0.580 7.340 0.000 1.867 0.332 9.459" Properties=species:S:1:pos:R:3 pbc="T T T"
Cs 2.198 1.423 3.323
Cs 3.943 5.645 9.315
Cs 5.499 2.027 0.145
Cs 7.245 6.249 6.136
P 3.877 1.987 7.119
P 5.565 5.685 2.340
Pd 4.721 3.836 4.730
S 2.877 3.585 6.195
S 3.846 2.070 9.147
S 3.806 7.545 6.435
S 3.669 5.181 3.098
S 5.774 2.492 6.361
S 5.636 0.127 3.024
S 5.597 5.603 0.312
S 6.566 4.087 3.264
```

***

No. 4
Diffraction record for Zn3P2O8. The XRD peak list is theoretical, not measured: it uses DFT lattice parameters and positions (PBE) and Cu Kα (λ = 1.5418 Å).
Intensities are scaled so that the largest is 100.

Peak list (10 most intense, 2θ from 10° to 90°, in order of rising 2θ)
19.42°, rel. 27; 21.29°, rel. 36; 22.58°, rel. 30; 24.86°, rel. 80; 28.61°, rel. 65; 29.30°, rel. 100; 34.35°, rel. 26; 36.81°, rel. 41; 37.80°, rel. 35; 39.41°, rel. 40

```
26
Lattice="4.081 -2.808 0.000 4.081 2.808 0.000 -3.879 0.000 14.282" Properties=species:S:1:pos:R:3 pbc="T T T"
Zn 1.860 0.303 0.988
Zn 1.172 1.528 10.712
Zn -0.079 -0.303 8.129
Zn 4.363 0.303 6.154
Zn 3.111 -1.528 3.571
Zn 2.423 -0.303 13.295
P 1.388 0.382 5.282
P -0.551 -0.382 12.423
P 4.835 0.382 1.859
P 2.896 -0.382 9.000
O 1.574 1.730 5.989
O 0.695 0.412 3.919
O -1.341 0.572 13.383
O -1.244 -0.412 11.061
O 4.649 1.730 1.152
O 0.598 -0.572 6.241
O 1.474 0.237 9.216
O 0.871 0.237 12.208
O 3.413 -0.237 2.075
O 2.810 -0.237 5.066
O 3.685 0.572 8.041
O -0.365 -1.730 13.130
O 5.528 0.412 3.222
O 5.625 -0.572 0.900
O 3.588 -0.412 10.363
O 2.710 -1.730 8.293
```

***

No. 5
Diffraction record for Li2Ta2Al2IrPd. The XRD peak list is theoretical, not measured: it uses DFT lattice parameters and positions (PBE) and Cu Kα (λ = 1.5418 Å).
Intensities are scaled so that the largest is 100.

Peak list (10 most intense, 2θ from 10° to 90°, in order of rising 2θ)
24.93°, rel. 84; 41.28°, rel. 100; 48.77°, rel. 28; 48.93°, rel. 14; 59.70°, rel. 11; 65.85°, rel. 11; 75.19°, rel. 23; 75.37°, rel. 11; 80.59°, rel. 7; 89.73°, rel. 8

```
8
Lattice="4.381 0.000 0.000 0.000 4.381 0.000 0.000 0.000 6.169" Properties=species:S:1:pos:R:3 pbc="T T T"
Li 0.000 0.000 0.000
Li 2.190 2.190 3.085
Ta 0.000 2.190 4.585
Ta 2.190 0.000 1.584
Al 0.000 2.190 1.518
Al 2.190 0.000 4.651
Ir 0.000 0.000 3.085
Pd 2.190 2.190 0.000
```

***

No. 6
Diffraction record for DyHo2Lu5. The XRD peak list is theoretical, not measured: it uses DFT lattice parameters and positions (PBE) and Cu Kα (λ = 1.5418 Å).
Intensities are scaled so that the largest is 100.

Peak list (10 most intense, 2θ from 10° to 90°, in order of rising 2θ)
29.11°, rel. 24; 32.63°, rel. 24; 33.47°, rel. 100; 44.29°, rel. 15; 51.61°, rel. 20; 58.76°, rel. 20; 62.41°, rel. 22; 62.92°, rel. 16; 81.98°, rel. 8; 85.63°, rel. 14

```
16
Lattice="5.489 0.000 0.000 0.000 7.083 0.000 0.000 0.000 12.272" Properties=species:S:1:pos:R:3 pbc="T T T"
Dy 0.000 0.000 0.000
Dy 0.000 3.541 6.136
Ho 0.000 0.000 6.133
Ho 0.000 3.541 12.268
Ho 2.744 0.000 2.050
Ho 2.744 3.541 8.186
Lu 0.000 1.771 3.077
Lu 0.000 1.771 9.213
Lu 0.000 5.312 3.077
Lu 0.000 5.312 9.213
Lu 2.744 0.000 8.189
Lu 2.744 1.774 5.112
Lu 2.744 1.767 11.248
Lu 2.744 3.541 2.054
Lu 2.744 5.309 5.112
Lu 2.744 5.316 11.248
```

***

No. 7
Diffraction record for LuGaAgTe3. The XRD peak list is theoretical, not measured: it uses DFT lattice parameters and positions (PBE) and Cu Kα (λ = 1.5418 Å).
Intensities are scaled so that the largest is 100.

Peak list (10 most intense, 2θ from 10° to 90°, in order of rising 2θ)
26.83°, rel. 31; 28.34°, rel. 23; 29.45°, rel. 47; 31.77°, rel. 26; 32.57°, rel. 100; 39.00°, rel. 16; 41.22°, rel. 22; 41.48°, rel. 25; 43.02°, rel. 25; 49.75°, rel. 16

```
12
Lattice="2.103 -7.131 0.000 2.103 7.131 0.000 0.000 0.000 11.266" Properties=species:S:1:pos:R:3 pbc="T T T"
Lu 0.000 0.000 0.000
Lu 0.000 0.000 5.633
Ga 2.103 0.399 8.450
Ga 2.103 -0.399 2.817
Ag 2.103 3.629 2.817
Ag 2.103 -3.629 8.450
Te 2.103 5.649 8.450
Te 2.103 2.076 6.326
Te 2.103 2.076 10.573
Te 2.103 -2.076 0.693
Te 2.103 -2.076 4.940
Te 2.103 -5.649 2.817
```

***

No. 8
Diffraction record for Tm2CoSi4Pd. The XRD peak list is theoretical, not measured: it uses DFT lattice parameters and positions (PBE) and Cu Kα (λ = 1.5418 Å).
Intensities are scaled so that the largest is 100.

Peak list (10 most intense, 2θ from 10° to 90°, in order of rising 2θ)
21.27°, rel. 37; 30.82°, rel. 43; 32.09°, rel. 90; 35.09°, rel. 81; 35.59°, rel. 100; 39.32°, rel. 28; 44.96°, rel. 33; 45.68°, rel. 32; 49.12°, rel. 29; 58.28°, rel. 37

```
16
Lattice="4.032 0.000 0.000 0.000 3.972 0.000 0.000 0.000 16.710" Properties=species:S:1:pos:R:3 pbc="T T T"
Tm 0.000 0.000 0.000
Tm 0.000 1.986 8.355
Tm 2.016 0.000 3.431
Tm 2.016 1.986 11.786
Co 2.016 0.000 7.139
Co 2.016 1.986 15.493
Si 0.000 0.000 6.085
Si 0.000 0.000 10.624
Si 0.000 1.986 2.270
Si 0.000 1.986 14.440
Si 2.016 0.000 9.362
Si 2.016 0.000 14.397
Si 2.016 1.986 1.007
Si 2.016 1.986 6.043
Pd 0.000 0.000 12.986
Pd 0.000 1.986 4.632
```

***

No. 9
Diffraction record for Pr2SnAu. The XRD peak list is theoretical, not measured: it uses DFT lattice parameters and positions (PBE) and Cu Kα (λ = 1.5418 Å).
Intensities are scaled so that the largest is 100.

Peak list (10 most intense, 2θ from 10° to 90°, in order of rising 2θ)
29.35°, rel. 100; 30.51°, rel. 28; 30.90°, rel. 19; 36.30°, rel. 29; 36.64°, rel. 77; 38.95°, rel. 29; 41.97°, rel. 26; 58.59°, rel. 18; 69.01°, rel. 21; 73.17°, rel. 26

```
8
Lattice="4.624 0.000 0.000 0.000 4.306 0.000 0.000 0.000 11.721" Properties=species:S:1:pos:R:3 pbc="T T T"
Pr 0.000 0.000 0.000
Pr 0.000 2.153 5.860
Pr 2.312 0.000 3.293
Pr 2.312 2.153 9.153
Sn 2.312 0.000 6.579
Sn 2.312 2.153 0.719
Au 0.000 0.000 8.530
Au 0.000 2.153 2.669
```

***

No. 10
Diffraction record for LuTlHgS3. The XRD peak list is theoretical, not measured: it uses DFT lattice parameters and positions (PBE) and Cu Kα (λ = 1.5418 Å).
Intensities are scaled so that the largest is 100.

Peak list (10 most intense, 2θ from 10° to 90°, in order of rising 2θ)
12.37°, rel. 55; 24.88°, rel. 74; 28.16°, rel. 85; 30.08°, rel. 100; 33.36°, rel. 79; 35.30°, rel. 45; 35.50°, rel. 52; 42.06°, rel. 42; 44.72°, rel. 32; 50.73°, rel. 31

```
24
Lattice="14.307 0.000 0.000 0.000 4.053 0.000 0.000 0.000 10.879" Properties=species:S:1:pos:R:3 pbc="T T T"
Lu 0.343 1.013 1.630
Lu 6.811 3.040 7.069
Lu 7.496 1.013 3.810
Lu 13.965 3.040 9.249
Tl 3.530 1.013 4.908
Tl 3.623 3.040 10.348
Tl 10.684 1.013 0.531
Tl 10.777 3.040 5.971
Hg 0.306 3.040 4.284
Hg 6.848 1.013 9.723
Hg 7.459 3.040 1.156
Hg 14.002 1.013 6.595
S 1.285 1.013 10.058
S 1.301 3.040 6.876
S 2.002 3.040 2.429
S 5.152 1.013 7.869
S 5.853 1.013 1.436
S 5.868 3.040 4.618
S 8.439 1.013 6.261
S 8.454 3.040 9.443
S 9.155 3.040 3.010
S 12.306 1.013 8.450
S 13.006 1.013 4.003
S 13.022 3.040 0.821
```

***

No. 11
Diffraction record for LuSc2Be. The XRD peak list is theoretical, not measured: it uses DFT lattice parameters and positions (PBE) and Cu Kα (λ = 1.5418 Å).
Intensities are scaled so that the largest is 100.

Peak list (10 most intense, 2θ from 10° to 90°, in order of rising 2θ)
22.08°, rel. 58; 25.55°, rel. 48; 36.45°, rel. 100; 43.02°, rel. 32; 45.04°, rel. 14; 52.49°, rel. 17; 57.62°, rel. 14; 59.27°, rel. 19; 65.59°, rel. 34; 88.73°, rel. 15

```
16
Lattice="6.973 0.000 0.000 0.000 6.973 0.000 0.000 0.000 6.973" Properties=species:S:1:pos:R:3 pbc="T T T"
Lu 0.000 0.000 0.000
Lu 0.000 3.486 3.486
Lu 3.486 0.000 3.486
Lu 3.486 3.486 0.000
Sc 0.000 0.000 3.486
Sc 0.000 3.486 0.000
Sc 1.743 1.743 1.743
Sc 1.743 5.230 5.230
Sc 3.486 0.000 0.000
Sc 3.486 3.486 3.486
Sc 5.230 1.743 5.230
Sc 5.230 5.230 1.743
Be 1.743 1.743 5.230
Be 1.743 5.230 1.743
Be 5.230 1.743 1.743
Be 5.230 5.230 5.230
```

***

What is the formula in the ninth record?
Pr2SnAu